Record 1
Diffraction record for Hf4MnOs2. The powder diffractogram is theoretical, not measured: it uses a structure optimized by DFT (PBE) and Cu Kα X-rays.
Neutral-atom scattering factors, no anomalous dispersion.

Largest 8 diffraction maxima, sorted by position, 10° ≤ 2θ ≤ 90°:
2θ 19.57, intensity 16
2θ 27.84, intensity 8
2θ 34.30, intensity 8
2θ 39.78, intensity 100
2θ 57.46, intensity 11
2θ 72.17, intensity 23
2θ 72.29, intensity 12
2θ 85.81, intensity 8

Atomic structure:
abc: 5.550 5.550 5.550
angles: 109.40 109.40 109.62
Atoms (fractional coordinates):
Hf  0.000  0.000  0.500
Hf  0.000  0.500  0.000
Hf  0.500  0.000  0.000
Hf  0.500  0.500  0.500
Mn  0.000  0.000  0.000
Os  0.000  0.500  0.500
Os  0.500  0.000  0.500

***

Record 2
Diffraction record for HfMnP. The powder diffractogram is theoretical, not measured: it uses a structure optimized by DFT (PBE) and Cu Kα X-rays.
Neutral-atom scattering factors, no anomalous dispersion.

Largest 8 diffraction maxima, sorted by position, 10° ≤ 2θ ≤ 90°:
2θ 27.52, intensity 50
2θ 27.93, intensity 29
2θ 37.47, intensity 100
2θ 37.65, intensity 24
2θ 38.86, intensity 54
2θ 39.61, intensity 86
2θ 44.25, intensity 25
2θ 50.74, intensity 25

Atomic structure:
abc: 6.388 3.599 7.460
angles: 90.00 90.00 90.00
Atoms (fractional coordinates):
Hf  0.032  0.250  0.175
Hf  0.468  0.750  0.675
Hf  0.532  0.250  0.325
Hf  0.968  0.750  0.825
Mn  0.136  0.250  0.560
Mn  0.364  0.750  0.060
Mn  0.636  0.250  0.940
Mn  0.864  0.750  0.440
P  0.233  0.750  0.372
P  0.267  0.250  0.872
P  0.733  0.750  0.128
P  0.767  0.250  0.628

***

Record 3
Diffraction record for Hf2Mn12P7. The powder diffractogram is theoretical, not measured: it uses a structure optimized by DFT (PBE) and Cu Kα X-rays.
Neutral-atom scattering factors, no anomalous dispersion.

Largest 8 diffraction maxima, sorted by position, 10° ≤ 2θ ≤ 90°:
2θ 11.18, intensity 10
2θ 27.53, intensity 14
2θ 33.95, intensity 17
2θ 39.39, intensity 100
2θ 48.77, intensity 12
2θ 51.47, intensity 13
2θ 53.02, intensity 16
2θ 77.03, intensity 10

Atomic structure:
abc: 9.139 9.139 3.551
angles: 90.00 90.00 120.00
Atoms (fractional coordinates):
Hf  0.000  0.000  0.000
Hf  0.333  0.667  0.500
Mn  0.062  0.772  0.500
Mn  0.095  0.384  0.000
Mn  0.228  0.289  0.500
Mn  0.289  0.905  0.000
Mn  0.387  0.214  0.000
Mn  0.540  0.103  0.500
Mn  0.563  0.460  0.500
Mn  0.616  0.711  0.000
Mn  0.711  0.938  0.500
Mn  0.786  0.173  0.000
Mn  0.827  0.613  0.000
Mn  0.897  0.437  0.500
P  0.083  0.624  0.000
P  0.254  0.052  0.500
P  0.376  0.459  0.000
P  0.541  0.917  0.000
P  0.667  0.333  0.000
P  0.799  0.746  0.500
P  0.948  0.201  0.500

***

Record 4
Diffraction record for HfMnPb2Se5. The powder diffractogram is theoretical, not measured: it uses a structure optimized by DFT (PBE) and Cu Kα X-rays.
Neutral-atom scattering factors, no anomalous dispersion.

Largest 8 diffraction maxima, sorted by position, 10° ≤ 2θ ≤ 90°:
2θ 16.42, intensity 30
2θ 22.11, intensity 48
2θ 26.40, intensity 35
2θ 30.34, intensity 100
2θ 30.45, intensity 47
2θ 33.47, intensity 40
2θ 36.08, intensity 49
2θ 45.37, intensity 31

Atomic structure:
abc: 9.243 9.243 13.469
angles: 90.00 90.00 155.02
Atoms (fractional coordinates):
Hf  0.219  0.781  0.500
Hf  0.781  0.219  0.000
Mn  0.427  0.573  0.922
Mn  0.573  0.427  0.422
Pb  0.104  0.896  0.121
Pb  0.110  0.890  0.766
Pb  0.890  0.110  0.266
Pb  0.896  0.104  0.621
Se  0.068  0.932  0.536
Se  0.270  0.730  0.138
Se  0.295  0.705  0.866
Se  0.364  0.636  0.467
Se  0.492  0.508  0.760
Se  0.508  0.492  0.260
Se  0.636  0.364  0.967
Se  0.705  0.295  0.366
Se  0.730  0.270  0.638
Se  0.932  0.068  0.036

***

Record 5
Diffraction record for Hf3Mn2Pd. The powder diffractogram is theoretical, not measured: it uses a structure optimized by DFT (PBE) and Cu Kα X-rays.
Neutral-atom scattering factors, no anomalous dispersion.

Largest 8 diffraction maxima, sorted by position, 10° ≤ 2θ ≤ 90°:
2θ 27.62, intensity 10
2θ 27.87, intensity 22
2θ 39.63, intensity 100
2θ 39.82, intensity 52
2θ 57.58, intensity 17
2θ 71.80, intensity 15
2θ 72.16, intensity 34
2θ 85.38, intensity 9

Atomic structure:
abc: 3.202 3.202 9.690
angles: 90.00 90.00 90.00
Atoms (fractional coordinates):
Hf  0.000  0.000  0.000
Hf  0.000  0.000  0.317
Hf  0.000  0.000  0.683
Mn  0.500  0.500  0.168
Mn  0.500  0.500  0.832
Pd  0.500  0.500  0.500

***

Record 6
Diffraction record for HfMn3Pd12. The powder diffractogram is theoretical, not measured: it uses a structure optimized by DFT (PBE) and Cu Kα X-rays.
Neutral-atom scattering factors, no anomalous dispersion.

Largest 8 diffraction maxima, sorted by position, 10° ≤ 2θ ≤ 90°:
2θ 39.54, intensity 100
2θ 45.86, intensity 33
2θ 46.24, intensity 16
2θ 66.87, intensity 10
2θ 67.16, intensity 20
2θ 80.56, intensity 24
2θ 81.11, intensity 12
2θ 85.15, intensity 10

Atomic structure:
abc: 3.958 3.958 15.707
angles: 90.00 90.00 90.00
Atoms (fractional coordinates):
Hf  0.000  0.000  0.000
Mn  0.000  0.000  0.254
Mn  0.000  0.000  0.500
Mn  0.000  0.000  0.746
Pd  0.000  0.500  0.128
Pd  0.000  0.500  0.377
Pd  0.000  0.500  0.623
Pd  0.000  0.500  0.872
Pd  0.500  0.000  0.128
Pd  0.500  0.000  0.377
Pd  0.500  0.000  0.623
Pd  0.500  0.000  0.872
Pd  0.500  0.500  0.000
Pd  0.500  0.500  0.252
Pd  0.500  0.500  0.500
Pd  0.500  0.500  0.748